Record 1
Calculated X-ray diffraction stick pattern of Cd3SbAs for Cu Kα (λ = 1.5418 Å), from a GGA-PBE-relaxed structure.
No peak broadening, texture or thermal motion is included.

Cell and atoms:
```
data_Cd3SbAs
_cell_length_a 6.8301
_cell_length_b 4.7381
_cell_length_c 9.3864
_cell_angle_alpha 90.00
_cell_angle_beta 92.78
_cell_angle_gamma 90.00
_symmetry_space_group_name_H-M 'P 1 21/m 1'
_symmetry_Int_Tables_number 11
loop_
_symmetry_equiv_pos_as_xyz
'x,y,z'
'-x,-y,-z'
'-x,y+1/2,-z'
'x,-y+1/2,z'
loop_
_atom_site_label
_atom_site_type_symbol
_atom_site_fract_x
_atom_site_fract_y
_atom_site_fract_z
Cd1 Cd 0.0069 0.2500 0.1761
Cd2 Cd 0.4785 0.7500 0.3595
Cd3 Cd 0.4919 0.2500 0.1420
Sb1 Sb 0.2295 0.2500 0.8872
As1 As 0.2827 0.2500 0.3864
```

Top 10 peaks for 2θ from 10° to 90°, low angle first:
d/Å	I (rel.)	h k l
6.822	28	1 0 0
3.954	30	1 0 -2
3.892	43	1 1 0
3.779	17	1 0 2
3.560	16	1 1 1
2.426	85	2 1 -2
2.369	46	0 2 0
2.344	100	2 1 2
1.666	19	0 2 4
1.384	18	4 2 0

---

Record 2
Calculated X-ray diffraction stick pattern of CdAsSe2 for Cu Kα (λ = 1.5418 Å), from a GGA-PBE-relaxed structure.
No peak broadening, texture or thermal motion is included.

Cell and atoms:
```
data_CdAsSe2
_cell_length_a 4.0776
_cell_length_b 3.9070
_cell_length_c 11.7734
_cell_angle_alpha 90.00
_cell_angle_beta 90.00
_cell_angle_gamma 90.00
_symmetry_space_group_name_H-M 'A m m 2'
_symmetry_Int_Tables_number 38
loop_
_symmetry_equiv_pos_as_xyz
'x,y,z'
'-x,-y,z'
'-x,y,z'
'x,-y,z'
'x,y+1/2,z+1/2'
'-x,-y+1/2,z+1/2'
'-x,y+1/2,z+1/2'
'x,-y+1/2,z+1/2'
loop_
_atom_site_label
_atom_site_type_symbol
_atom_site_fract_x
_atom_site_fract_y
_atom_site_fract_z
Cd1 Cd 0.0000 0.0000 0.0000
As1 As 0.5000 0.0000 0.7430
Se1 Se 0.0000 0.0000 0.2640
Se2 Se 0.5000 0.0000 0.5348
```

Top 10 peaks for 2θ from 10° to 90°, low angle first:
d/Å	I (rel.)	h k l
2.943	49	0 0 4
2.743	100	1 1 1
2.291	42	1 1 3
2.039	20	2 0 0
1.954	17	0 2 0
1.808	28	1 1 5
1.676	18	2 0 4
1.628	16	0 2 4
1.411	12	2 2 0
1.272	14	2 2 4